Simulated XRD peak list
Compound: Li2VP4H8O16
Radiation: a wavelength of 1.5418 Å
Structure: the PBE+U geometry in the Materials Project

Main lines, sorted by position (2θ from 5° to 70°):
d (Å)  2θ/deg  I/Imax  (hkl)
6.523  13.6  46  1 0 0
5.378  16.5  55  0 1 1
4.617  19.2  100  0 1 -1
3.367  26.5  27  0 1 2
3.317  26.9  25  0 2 1
3.181  28.1  51  2 1 1

Structure:
Unit cell a=6.7602 b=7.1316 c=7.3458 alpha=79.31 beta=77.41 gamma=79.39
Fractional coordinates of all 31 atoms:
Li 0.1856 0.2234 0.2889
Li 0.8144 0.7766 0.7111
V 0.5000 0.0000 0.5000
P 0.2405 0.3207 0.7696
P 0.3054 0.7828 0.2331
P 0.6946 0.2172 0.7669
P 0.7595 0.6793 0.2304
H 0.0411 0.7740 0.0434
H 0.2269 0.5612 0.4843
H 0.3848 0.8165 0.8599
H 0.4021 0.6725 0.7196
H 0.5979 0.3275 0.2804
H 0.6152 0.1835 0.1401
H 0.7731 0.4388 0.5157
H 0.9589 0.2260 0.9566
O 0.0894 0.2856 0.9633
O 0.2169 0.8489 0.0548
O 0.2211 0.5348 0.6842
O 0.2323 0.5875 0.3364
O 0.2394 0.1884 0.6304
O 0.2710 0.9332 0.3638
O 0.4525 0.2656 0.8492
O 0.4746 0.7731 0.7423
O 0.5254 0.2269 0.2577
O 0.5475 0.7344 0.1508
O 0.7290 0.0668 0.6362
O 0.7606 0.8116 0.3696
O 0.7677 0.4125 0.6636
O 0.7789 0.4652 0.3158
O 0.7831 0.1511 0.9452
O 0.9106 0.7144 0.0367

---

Simulated XRD peak list
Compound: LiVP4H4O14
Radiation: a wavelength of 1.5418 Å
Structure: the PBE+U geometry in the Materials Project

Main lines, sorted by position (2θ from 5° to 70°):
d (Å)  2θ/deg  I/Imax  (hkl)
7.343  12.1  31  0 1 0
3.799  23.4  89  1 1 -1
3.185  28.0  100  1 -1 3
3.142  28.4  42  -1 2 1
3.031  29.5  75  0 1 4
2.744  32.6  31  1 2 -1

Structure:
Unit cell a=5.1691 b=7.4435 c=13.5464 alpha=91.76 beta=91.77 gamma=99.21
Fractional coordinates of all 48 atoms:
Li 0.2485 0.0010 0.2498
Li 0.7515 0.9990 0.7502
V 0.0000 0.0000 0.0000
V 0.5000 0.0000 0.5000
P 0.0705 0.2705 0.4099
P 0.1943 0.7628 0.8026
P 0.3059 0.2371 0.6972
P 0.4296 0.7297 0.0903
P 0.5704 0.2703 0.9097
P 0.6941 0.7629 0.3028
P 0.8057 0.2372 0.1974
P 0.9295 0.7295 0.5901
H 0.0358 0.4754 0.1297
H 0.2019 0.6366 0.4874
H 0.2981 0.3633 0.0126
H 0.4642 0.5246 0.3704
H 0.5358 0.4754 0.6296
H 0.7019 0.6367 0.9874
H 0.7981 0.3634 0.5126
H 0.9642 0.5246 0.8703
O 0.0088 0.7697 0.7030
O 0.0261 0.1848 0.7195
O 0.0686 0.8902 0.8711
O 0.1391 0.5639 0.8389
O 0.1937 0.7558 0.5288
O 0.2088 0.4641 0.4268
O 0.2262 0.1210 0.4345
O 0.2740 0.8792 0.0655
O 0.2914 0.5361 0.0733
O 0.3061 0.2441 0.9711
O 0.3610 0.4361 0.6611
O 0.4321 0.1103 0.6285
O 0.4740 0.8146 0.7802
O 0.4912 0.2301 0.7969
O 0.5088 0.7699 0.2031
O 0.5260 0.1854 0.2198
O 0.5679 0.8897 0.3715
O 0.6390 0.5639 0.3389
O 0.6939 0.7559 0.0289
O 0.7086 0.4639 0.9267
O 0.7260 0.1208 0.9345
O 0.7738 0.8790 0.5655
O 0.7912 0.5359 0.5732
O 0.8063 0.2442 0.4712
O 0.8609 0.4361 0.1611
O 0.9314 0.1098 0.1289
O 0.9739 0.8152 0.2805
O 0.9912 0.2303 0.2970

---

Simulated XRD peak list
Compound: LiVP2HO8
Radiation: a wavelength of 1.5418 Å
Structure: the PBE+U geometry in the Materials Project

Main lines, sorted by position (2θ from 5° to 70°):
d (Å)  2θ/deg  I/Imax  (hkl)
5.355  16.6  78  1 -1 1
3.929  22.6  60  1 0 -2
3.519  25.3  100  1 1 1
3.497  25.5  69  1 -2 2
3.062  29.2  90  2 -2 0
2.677  33.5  59  2 2 -2

Structure:
Unit cell a=7.4807 b=9.3464 c=9.3624 alpha=117.49 beta=97.93 gamma=97.97
Fractional coordinates of all 52 atoms:
Li 0.0000 0.0000 0.0000
Li 0.0037 0.4992 0.4986
Li 0.2099 0.4122 0.9098
Li 0.5000 0.1315 0.3708
V 0.3595 0.2735 0.1393
V 0.3600 0.7745 0.6398
V 0.8540 0.2669 0.6416
V 0.8545 0.7672 0.1419
P 0.0860 0.5293 0.2457
P 0.0888 0.0265 0.7446
P 0.1223 0.1584 0.3765
P 0.1240 0.6629 0.8782
P 0.5909 0.8737 0.3990
P 0.5924 0.3787 0.9014
P 0.6179 0.5083 0.5303
P 0.6197 0.0046 0.0301
H 0.3640 0.7785 0.1551
H 0.3647 0.2792 0.6541
H 0.8493 0.2609 0.1333
H 0.8509 0.7618 0.6338
O 0.0031 0.9771 0.2940
O 0.0036 0.4770 0.7934
O 0.0365 0.6604 0.2032
O 0.0424 0.1689 0.7152
O 0.1656 0.1858 0.2322
O 0.1666 0.6895 0.7348
O 0.1991 0.1128 0.9320
O 0.1996 0.6127 0.4298
O 0.2132 0.4365 0.1317
O 0.2181 0.9387 0.6369
O 0.2936 0.6676 0.9913
O 0.3040 0.1818 0.4893
O 0.4072 0.3594 0.7881
O 0.4168 0.8707 0.2850
O 0.4955 0.6035 0.6400
O 0.4999 0.1041 0.1464
O 0.5003 0.9232 0.8497
O 0.5014 0.4224 0.3464
O 0.5378 0.3378 0.0326
O 0.5376 0.8342 0.5299
O 0.6658 0.3648 0.5567
O 0.6718 0.8717 0.0679
O 0.7011 0.0609 0.4833
O 0.7038 0.5610 0.9845
O 0.7146 0.2671 0.8044
O 0.7165 0.7647 0.3066
O 0.7995 0.1191 0.0443
O 0.8025 0.6182 0.5476
O 0.9132 0.9119 0.7328
O 0.9154 0.4107 0.2363
O 0.9994 0.2744 0.4726
O 0.9992 0.7771 0.9710